(1)
This entry pairs a crystal structure of NdSm3Y2Se6 with its theoretical powder diffractogram. Radiation: copper Kα. Structure: the GGA-PBE geometry in Alexandria.
Lines closer than 0.1° are merged.

Top 6 peaks for 2θ = 15–90°, by angle:
| (hkl) | 2θ/deg | I (rel.) |
| --- | --- | --- |
| 2 0 -2 | 30.44 | 100 |
| 1 3 -3 | 43.52 | 37 |
| 2 0 2 | 43.65 | 37 |
| 0 0 4 | 54.03 | 19 |
| 3 3 -5 | 71.81 | 11 |
| 5 3 -3 | 71.97 | 16 |

Structural model:
abc: 7.1737 12.4860 7.2001
angles: 90.00 109.47 90.00
Space group C2/m (No. 12)
Symmetry-distinct sites (fractional):
Nd  0.0000  0.0000  0.0000
Sm  0.0000  0.1611  0.5000
Sm  0.0000  0.5000  0.5000
Y  0.0000  0.3341  0.0000
Se  0.2393  0.5000  0.2433
Se  0.2466  0.3289  0.7522

(2)
This entry pairs a crystal structure of Nd6SnSe4 with its theoretical powder diffractogram. Radiation: copper Kα. Structure: the GGA-PBE geometry in Alexandria.
Lines closer than 0.1° are merged.

Top 6 peaks for 2θ = 15–90°, by angle:
| (hkl) | 2θ/deg | I (rel.) |
| --- | --- | --- |
| 0 2 6 | 28.17 | 79 |
| 1 3 1 | 28.70 | 51 |
| 1 3 2 | 29.62 | 100 |
| 1 3 3 | 31.09 | 41 |
| 2 0 0 | 42.02 | 37 |
| 2 2 6 | 51.34 | 35 |

Structural model:
abc: 4.3003 13.8247 21.3879
angles: 90.00 90.00 90.00
Space group Cmcm (No. 63)
Symmetry-distinct sites (fractional):
Nd  0.0000  0.0000  0.0000
Nd  0.0000  0.1675  0.2500
Nd  0.0000  0.2712  0.5870
Nd  0.0000  0.4529  0.1635
Sn  0.0000  0.1650  0.7500
Se  0.0000  0.0910  0.1243
Se  0.0000  0.3618  0.0394

(3)
This entry pairs a crystal structure of NdSnSe3 with its theoretical powder diffractogram. Radiation: copper Kα. Structure: the GGA-PBE geometry in Alexandria.
Lines closer than 0.1° are merged.

Top 6 peaks for 2θ = 15–90°, by angle:
| (hkl) | 2θ/deg | I (rel.) |
| --- | --- | --- |
| 1 1 1 | 24.81 | 22 |
| 1 0 5 | 31.44 | 23 |
| 2 1 2 | 32.65 | 100 |
| 3 0 3 | 36.59 | 28 |
| 0 1 5 | 36.92 | 34 |
| 0 2 0 | 44.06 | 34 |

Structural model:
abc: 8.4360 4.1093 15.1140
angles: 90.00 90.00 90.00
Space group Pnma (No. 62)
Symmetry-distinct sites (fractional):
Nd  0.1463  0.2500  0.1936
Sn  0.1835  0.7500  0.4503
Se  0.0064  0.7500  0.6226
Se  0.1443  0.2500  0.7925
Se  0.1483  0.7500  0.0461